Calculated powder diffraction line list of Ba2Bi2Se3O2 for Cu Kα, from a GGA-PBE-relaxed structure.
Neutral-atom scattering factors, no anomalous dispersion.

Top 8 peaks for 2θ = 10–80°, sorted by position:
- d 3.870, I 27, (1 0 2)
- d 3.349, I 88, (3 0 -2)
- d 3.149, I 100, (1 1 -3)
- d 2.871, I 51, (0 1 3)
- d 2.634, I 77, (2 1 1)
- d 2.115, I 30, (0 2 0)
- d 1.789, I 29, (3 2 -2)
- d 1.654, I 29, (5 1 -1)

Crystal structure
abc: 10.115 4.231 14.249
angles: 90.00 124.60 90.00
Fractional positions:
Ba 0.107 0.009 0.402
Ba 0.107 0.491 0.902
Ba 0.893 0.509 0.098
Ba 0.893 0.991 0.598
Bi 0.362 0.505 0.313
Bi 0.362 0.995 0.813
Bi 0.638 0.005 0.187
Bi 0.638 0.495 0.687
Se 0.227 0.003 0.141
Se 0.227 0.497 0.641
Se 0.500 0.000 0.500
Se 0.500 0.500 0.000
Se 0.773 0.503 0.359
Se 0.773 0.997 0.859
O 0.153 0.506 0.314
O 0.153 0.994 0.814
O 0.847 0.006 0.186
O 0.847 0.494 0.686